Simulated XRD peak list of Ho2Zn3Cu4 for copper Kα, from a crystal structure in Alexandria, relaxed with PBE.
Lines closer than 0.1° are merged.

Most intense lines, 15° ≤ 2θ ≤ 90°, by angle:
Position (°2θ), intensity
34.19, 43
36.57, 100
37.58, 56
37.75, 47
38.21, 27
41.39, 70
41.69, 26
62.03, 26

Structure:
a = 7.898 Å, b = 7.898 Å, c = 7.585 Å
α = 90.00°, β = 90.00°, γ = 140.53°
Fractional positions:
Ho (0.110, 0.890, 0.911)
Ho (0.390, 0.610, 0.411)
Ho (0.610, 0.390, 0.589)
Ho (0.890, 0.110, 0.089)
Zn (0.000, 0.000, 0.500)
Zn (0.022, 0.478, 0.750)
Zn (0.478, 0.022, 0.250)
Zn (0.500, 0.500, 0.000)
Zn (0.522, 0.978, 0.750)
Zn (0.978, 0.522, 0.250)
Cu (0.179, 0.821, 0.519)
Cu (0.190, 0.310, 0.750)
Cu (0.310, 0.190, 0.250)
Cu (0.321, 0.679, 0.019)
Cu (0.679, 0.321, 0.981)
Cu (0.690, 0.810, 0.750)
Cu (0.810, 0.690, 0.250)
Cu (0.821, 0.179, 0.481)